No. 1
Starting from DFT lattice parameters and positions (GGA-PBE), the XRD peak list of SbPC3Cl5O was calculated for Cu Kα (λ = 1.5418 Å).
Intensities are scaled so that the largest is 100.

Cell and atoms:
Unit cell a=15.5522 b=8.0590 c=10.0097 alpha=90.00 beta=90.00 gamma=90.00
Positions (direct):
Sb: 0.1522 0.2500 0.0974
Sb: 0.3478 0.7500 0.5974
Sb: 0.6522 0.2500 0.4026
Sb: 0.8478 0.7500 0.9026
P: 0.0696 0.2500 0.7643
P: 0.4304 0.7500 0.2643
P: 0.5696 0.2500 0.7357
P: 0.9304 0.7500 0.2357
C: 0.0249 0.2500 0.6085
C: 0.1195 0.1621 0.6139
C: 0.1195 0.3379 0.6139
C: 0.3805 0.6621 0.1139
C: 0.3805 0.8379 0.1139
C: 0.4751 0.7500 0.1085
C: 0.5249 0.2500 0.8915
C: 0.6195 0.1621 0.8861
C: 0.6195 0.3379 0.8861
C: 0.8805 0.6621 0.3861
C: 0.8805 0.8379 0.3861
C: 0.9751 0.7500 0.3915
Cl: 0.0190 0.2500 0.2145
Cl: 0.1434 0.5430 0.0752
Cl: 0.1434 0.9570 0.0752
Cl: 0.2426 0.2500 0.2833
Cl: 0.2437 0.7500 0.4212
Cl: 0.2563 0.2500 0.9212
Cl: 0.2574 0.7500 0.7833
Cl: 0.3566 0.0430 0.5752
Cl: 0.3566 0.4570 0.5752
Cl: 0.4810 0.7500 0.7145
Cl: 0.5190 0.2500 0.2855
Cl: 0.6434 0.5430 0.4248
Cl: 0.6434 0.9570 0.4248
Cl: 0.7426 0.2500 0.2167
Cl: 0.7437 0.7500 0.0788
Cl: 0.7563 0.2500 0.5788
Cl: 0.7574 0.7500 0.7167
Cl: 0.8566 0.0430 0.9248
Cl: 0.8566 0.4570 0.9248
Cl: 0.9810 0.7500 0.7855
O: 0.0547 0.2500 0.9122
O: 0.4453 0.7500 0.4122
O: 0.5547 0.2500 0.5878
O: 0.9453 0.7500 0.0878

The 10 most intense peaks (15° ≤ 2θ ≤ 90°), by angle:
2θ (°), I/Imax
15.2, 59
15.8, 100
18.6, 28
19.3, 39
22.1, 49
29.1, 31
33.9, 28
35.4, 23
37.2, 22
49.4, 24

***

No. 2
Starting from DFT lattice parameters and positions (GGA-PBE), the XRD peak list of BaCa2I6 was calculated for Cu Kα (λ = 1.5418 Å).
Intensities are scaled so that the largest is 100.

Cell and atoms:
Unit cell a=7.6947 b=7.6947 c=14.6954 alpha=90.00 beta=90.00 gamma=90.00
Positions (direct):
Ba: 0.0000 0.0000 0.0000
Ba: 0.5000 0.5000 0.5000
Ca: 0.0000 0.0000 0.3318
Ca: 0.0000 0.0000 0.6682
Ca: 0.5000 0.5000 0.1682
Ca: 0.5000 0.5000 0.8318
I: 0.1824 0.1824 0.5000
I: 0.2052 0.2052 0.1797
I: 0.2052 0.2052 0.8203
I: 0.2948 0.7052 0.3203
I: 0.2948 0.7052 0.6797
I: 0.3176 0.6824 0.0000
I: 0.6824 0.3176 0.0000
I: 0.7052 0.2948 0.3203
I: 0.7052 0.2948 0.6797
I: 0.7948 0.7948 0.1797
I: 0.7948 0.7948 0.8203
I: 0.8176 0.8176 0.5000

The 10 most intense peaks (15° ≤ 2θ ≤ 90°), by angle:
2θ (°), I/Imax
16.3, 28
23.1, 18
24.5, 100
25.9, 37
31.8, 38
32.9, 25
36.7, 16
39.7, 43
41.4, 16
48.8, 15